# 1
Diffraction record for AcTm3Mg8. The powder diffractogram is simulated, not measured: it uses DFT lattice parameters and positions (PBE) and Cu Kα.
Kinematic intensities with the Lorentz-polarization factor, no thermal factor.

Cell and atoms:
```
12
Lattice="6.099 0.000 0.000 -3.050 5.282 0.000 0.000 0.000 9.884" Properties=species:S:1:pos:R:3 pbc="T T T"
Ac 0.000 0.000 0.000
Tm 0.000 0.000 3.757
Tm 3.050 1.761 4.879
Tm 3.050 1.761 8.486
Mg 0.000 1.731 6.702
Mg -1.551 4.417 6.702
Mg 0.000 3.521 4.287
Mg 0.000 3.521 9.216
Mg 3.050 0.046 1.884
Mg 1.565 2.618 1.884
Mg 1.551 4.417 6.702
Mg 4.534 2.618 1.884
```

Largest 10 diffraction maxima, sorted by position, 10° ≤ 2θ ≤ 90°:
2θ (°), intensity
16.8, 499
17.9, 268
19.1, 365
24.7, 276
29.3, 837
32.0, 1000
34.6, 758
35.2, 288
49.2, 302
53.7, 461

***

# 2
Diffraction record for AcYMg17. The powder diffractogram is simulated, not measured: it uses DFT lattice parameters and positions (PBE) and Cu Kα.
Kinematic intensities with the Lorentz-polarization factor, no thermal factor.

Cell and atoms:
```
19
Lattice="5.170 2.985 5.100 -5.170 2.985 5.100 0.000 -5.969 5.100" Properties=species:S:1:pos:R:3 pbc="T T T"
Ac 0.000 0.000 0.000
Y 0.000 0.000 10.140
Mg -1.582 -2.672 5.105
Mg -3.105 -0.034 5.105
Mg -2.561 -1.479 7.899
Mg 0.000 0.000 3.646
Mg 0.000 -3.037 7.631
Mg -2.630 1.518 7.631
Mg 1.582 -2.672 5.105
Mg -1.523 2.706 5.105
Mg 0.000 0.000 6.654
Mg -2.453 -1.416 12.540
Mg 3.105 -0.034 5.105
Mg 1.523 2.706 5.105
Mg 2.561 -1.479 7.899
Mg 0.000 2.957 7.899
Mg 2.630 1.518 7.631
Mg 2.453 -1.416 12.540
Mg 0.000 2.832 12.540
```

Largest 10 diffraction maxima, sorted by position, 10° ≤ 2θ ≤ 90°:
2θ (°), intensity
11.5, 515
15.2, 400
17.2, 473
24.5, 840
28.8, 277
29.9, 512
34.7, 537
34.8, 1000
35.2, 249
50.0, 284

***

# 3
Diffraction record for AcMg4Zn4. The powder diffractogram is simulated, not measured: it uses DFT lattice parameters and positions (PBE) and Cu Kα.
Kinematic intensities with the Lorentz-polarization factor, no thermal factor.

Cell and atoms:
```
18
Lattice="6.565 0.000 0.000 0.000 6.565 0.000 0.000 0.000 9.262" Properties=species:S:1:pos:R:3 pbc="T T T"
Ac 1.641 4.924 2.315
Ac 4.924 1.641 6.946
Mg 0.051 1.641 1.276
Mg 1.641 0.051 5.906
Mg 1.641 3.232 5.906
Mg 3.232 1.641 1.276
Mg 3.333 4.924 7.986
Mg 4.924 3.333 3.355
Mg 4.924 6.514 3.355
Mg 6.514 4.924 7.986
Zn 0.387 1.641 4.004
Zn 1.641 0.387 8.635
Zn 1.641 2.895 8.635
Zn 2.895 1.641 4.004
Zn 3.670 4.924 5.258
Zn 4.924 3.670 0.627
Zn 4.924 6.177 0.627
Zn 6.177 4.924 5.258
```

Largest 10 diffraction maxima, sorted by position, 10° ≤ 2θ ≤ 90°:
2θ (°), intensity
16.6, 298
27.2, 542
32.0, 1000
33.5, 104
43.6, 353
48.1, 107
51.2, 315
56.1, 146
59.8, 118
79.3, 184

***

# 4
Diffraction record for AcMg2Zn2. The powder diffractogram is simulated, not measured: it uses DFT lattice parameters and positions (PBE) and Cu Kα.
Kinematic intensities with the Lorentz-polarization factor, no thermal factor.

Cell and atoms:
```
5
Lattice="-2.233 2.233 6.159 2.233 -2.233 6.159 2.233 2.233 -6.159" Properties=species:S:1:pos:R:3 pbc="T T T"
Ac 0.000 0.000 0.000
Mg 2.233 0.000 3.080
Mg 0.000 2.233 3.080
Zn 0.000 0.000 4.851
Zn 0.000 0.000 7.468
```

Largest 10 diffraction maxima, sorted by position, 10° ≤ 2θ ≤ 90°:
2θ (°), intensity
14.4, 674
21.2, 319
28.3, 694
29.5, 1000
31.8, 982
40.4, 477
41.9, 652
50.8, 452
59.6, 458
68.1, 222